For VHO3, the GGA+U geometry in Alexandria gives the calculated XRD peak list in this record (CuKα).
Kinematic intensities with the Lorentz-polarization factor, no thermal factor.

Peak list (12 most intense, 2θ = 15–90°, low angle first)
2θ = 21.39°, I 100.0
2θ = 23.32°, I 29.9
2θ = 29.55°, I 39.3
2θ = 35.89°, I 19.1
2θ = 36.63°, I 17.7
2θ = 38.21°, I 16.0
2θ = 40.38°, I 25.1
2θ = 47.15°, I 29.9
2θ = 51.51°, I 15.2
2θ = 51.95°, I 16.9
2θ = 56.11°, I 16.9
2θ = 65.49°, I 10.2

Structural model:
Lattice parameters (Å, degrees): 7.764 7.764 4.953 90.00 90.00 158.67
Sites, in units of the cell vectors:
V (0.164, 0.836, 0.500)
V (0.836, 0.164, 0.000)
H (0.396, 0.604, 0.416)
H (0.604, 0.396, 0.916)
O (0.097, 0.903, 0.247)
O (0.264, 0.736, 0.909)
O (0.393, 0.607, 0.218)
O (0.607, 0.393, 0.718)
O (0.736, 0.264, 0.409)
O (0.903, 0.097, 0.747)